This entry pairs a crystal structure of Tl2Te2Pb with its simulated powder X-ray diffraction pattern. Radiation: λ = 1.5418 Å (Cu Kα). Structure: DFT lattice parameters and positions (PBE).
Neutral-atom scattering factors, no anomalous dispersion.

The 12 most intense peaks (2θ = 10–90°), sorted by position:
index  d (Å)  2theta  intensity
1 1 -1  5.382  16.5  36
1 2 1  3.704  24.0  45
1 1 -2  3.561  25.0  27
3 0 0  3.484  25.6  33
3 1 0  3.261  27.4  29
2 2 -1  3.238  27.6  39
2 1 -2  3.116  28.7  40
0 2 2  3.042  29.4  100
2 1 2  2.934  30.5  79
2 3 0  2.655  33.8  100
3 1 -2  2.622  34.2  29
5 0 2  1.805  50.6  32

Crystal structure
```
Tl2Te2Pb
1.0
10.478 0.000 0.000
0.000 9.249 0.000
-0.562 0.000 8.079
Tl Te Pb
8 8 4
direct
0.073 0.238 0.026 Tl
0.073 0.262 0.526 Tl
0.323 0.717 0.502 Tl
0.323 0.783 0.002 Tl
0.677 0.217 0.998 Tl
0.677 0.283 0.498 Tl
0.927 0.738 0.474 Tl
0.927 0.762 0.974 Tl
0.113 0.579 0.752 Te
0.113 0.921 0.252 Te
0.412 0.049 0.735 Te
0.412 0.451 0.235 Te
0.588 0.549 0.765 Te
0.588 0.951 0.265 Te
0.887 0.079 0.748 Te
0.887 0.421 0.248 Te
0.351 0.120 0.362 Pb
0.351 0.380 0.862 Pb
0.649 0.620 0.138 Pb
0.649 0.880 0.638 Pb
```